No. 1
Theoretical powder diffractogram of GaHgB for CuKα, from a DFT-relaxed cell (GGA-PBE, Alexandria).

Cell and atoms:
```
data_GaHgB
_space_group_name_H-M_alt 'P 1'
_space_group_IT_number 1
_cell_length_a 3.132
_cell_length_b 6.187
_cell_length_c 6.429
_cell_angle_alpha 69.49
_cell_angle_beta 89.82
_cell_angle_gamma 75.60
loop_
_space_group_symop_operation_xyz
'x,y,z'
loop_
_atom_site_label
_atom_site_fract_x
_atom_site_fract_y
_atom_site_fract_z
_atom_site_occupancy
Ga1 0.000 0.000 0.000 1
Ga2 0.021 0.927 0.624 1
Hg1 0.218 0.444 0.687 1
Hg2 0.696 0.581 0.175 1
B1 0.424 0.125 0.322 1
B2 0.910 0.155 0.261 1
```

The 10 most intense peaks (5° ≤ 2θ ≤ 70°), in order of rising 2θ:
h k l, Position (°2θ), Rel. int.
0 1 0, 15.86, 853
0 1 2, 28.25, 928
0 0 2, 29.80, 777
0 2 1, 30.01, 410
1 0 -1, 31.89, 1000
0 2 0, 32.03, 514
1 0 1, 34.46, 646
1 1 -1, 34.68, 556
1 2 0, 37.63, 410
0 2 -1, 40.23, 419



No. 2
Theoretical powder diffractogram of GaHgB for CuKα, from a DFT-relaxed cell (GGA-PBE, Alexandria).

Cell and atoms:
```
data_GaHgB
_space_group_name_H-M_alt 'P -1'
_space_group_IT_number 2
_cell_length_a 3.065
_cell_length_b 3.693
_cell_length_c 10.850
_cell_angle_alpha 86.48
_cell_angle_beta 83.56
_cell_angle_gamma 65.61
loop_
_space_group_symop_operation_xyz
'x,y,z'
'-x,-y,-z'
loop_
_atom_site_label
_atom_site_fract_x
_atom_site_fract_y
_atom_site_fract_z
_atom_site_occupancy
Ga1 0.090 0.427 0.365 1
Hg1 0.308 0.227 0.119 1
B1 0.236 0.002 0.532 1
```

The 10 most intense peaks (5° ≤ 2θ ≤ 70°), in order of rising 2θ:
h k l, Position (°2θ), Rel. int.
0 0 1, 8.20, 1000
0 1 -1, 27.92, 442
0 1 -2, 31.59, 235
1 1 0, 32.32, 472
1 0 1, 32.50, 425
0 0 4, 33.24, 426
0 1 3, 36.28, 307
1 0 -3, 43.01, 204
1 1 4, 44.26, 200
0 1 -5, 50.70, 170



No. 3
Theoretical powder diffractogram of GaB2Ir2 for CuKα, from a DFT-relaxed cell (GGA-PBE, Alexandria).

Cell and atoms:
```
data_GaB2Ir2
_space_group_name_H-M_alt 'I 4/m m m'
_space_group_IT_number 139
_space_group_name_Hall '-I 4 2'
_cell_length_a 3.112
_cell_length_b 3.112
_cell_length_c 12.074
_cell_angle_alpha 90.00
_cell_angle_beta 90.00
_cell_angle_gamma 90.00
loop_
_atom_site_label
_atom_site_fract_x
_atom_site_fract_y
_atom_site_fract_z
_atom_site_occupancy
Ga1 0.000 0.000 0.000 1
B1 0.000 0.500 0.250 1
Ir1 0.000 0.000 0.376 1
```

The 10 most intense peaks (5° ≤ 2θ ≤ 70°), in order of rising 2θ:
h k l, Position (°2θ), Rel. int.
0 0 2, 14.67, 61
0 0 4, 29.63, 877
1 0 3, 36.50, 1000
1 1 0, 41.01, 604
1 1 2, 43.79, 43
1 0 5, 47.67, 491
1 1 4, 51.38, 340
2 0 0, 59.40, 232
0 0 8, 61.44, 175
2 0 4, 67.76, 242



No. 4
Theoretical powder diffractogram of Nd2GaB2Ir5 for CuKα, from a DFT-relaxed cell (GGA-PBE, Alexandria).

Cell and atoms:
```
data_Nd2GaB2Ir5
_space_group_name_H-M_alt 'P 4/m b m'
_space_group_IT_number 127
_space_group_name_Hall '-P 4 2ab'
_cell_length_a 9.765
_cell_length_b 9.765
_cell_length_c 3.225
_cell_angle_alpha 90.00
_cell_angle_beta 90.00
_cell_angle_gamma 90.00
loop_
_atom_site_label
_atom_site_fract_x
_atom_site_fract_y
_atom_site_fract_z
_atom_site_occupancy
Nd1 0.178 0.322 0.000 1
Ga1 0.000 0.000 0.000 1
B1 0.120 0.620 0.000 1
Ir1 0.000 0.500 0.500 1
Ir2 0.068 0.777 0.500 1
```

The 10 most intense peaks (5° ≤ 2θ ≤ 70°), in order of rising 2θ:
h k l, Position (°2θ), Rel. int.
0 0 1, 27.66, 347
3 2 0, 33.08, 262
2 1 1, 34.58, 876
4 1 0, 37.99, 1000
2 2 1, 38.19, 410
3 1 1, 40.45, 951
4 2 0, 41.35, 447
3 2 1, 43.65, 480
0 0 2, 57.13, 259
5 4 1, 68.00, 278



No. 5
Theoretical powder diffractogram of Ga3Ni4B2Ir3 for CuKα, from a DFT-relaxed cell (GGA-PBE, Alexandria).

Cell and atoms:
```
data_Ga3Ni4B2Ir3
_space_group_name_H-M_alt 'I m m 2'
_space_group_IT_number 44
_cell_length_a 4.019
_cell_length_b 20.081
_cell_length_c 3.927
_cell_angle_alpha 90.00
_cell_angle_beta 90.00
_cell_angle_gamma 90.00
loop_
_space_group_symop_operation_xyz
'x,y,z'
'-x,-y,z'
'-x,y,z'
'x,-y,z'
'x+1/2,y+1/2,z+1/2'
'-x+1/2,-y+1/2,z+1/2'
'-x+1/2,y+1/2,z+1/2'
'x+1/2,-y+1/2,z+1/2'
loop_
_atom_site_label
_atom_site_fract_x
_atom_site_fract_y
_atom_site_fract_z
_atom_site_occupancy
Ga1 0.000 0.000 0.000 1
Ga2 0.000 0.182 0.967 1
Ni1 0.000 0.298 0.841 1
Ni2 0.000 0.410 0.517 1
B1 0.000 0.388 0.029 1
Ir1 0.000 0.099 0.478 1
Ir2 0.000 0.500 0.033 1
```

The 10 most intense peaks (5° ≤ 2θ ≤ 70°), in order of rising 2θ:
h k l, Position (°2θ), Rel. int.
0 2 0, 8.81, 804
0 1 1, 23.08, 274
1 3 0, 25.86, 154
1 5 0, 31.49, 207
1 4 1, 36.66, 868
1 6 1, 42.00, 1000
2 0 0, 45.13, 610
0 0 2, 46.24, 202
2 10 0, 65.74, 173
2 0 2, 66.60, 237



No. 6
Theoretical powder diffractogram of SmGaBIr2 for CuKα, from a DFT-relaxed cell (GGA-PBE, Alexandria).

Cell and atoms:
```
data_SmGaBIr2
_space_group_name_H-M_alt 'C m c m'
_space_group_IT_number 63
_space_group_name_Hall '-C 2c 2'
_cell_length_a 4.072
_cell_length_b 11.270
_cell_length_c 7.393
_cell_angle_alpha 90.00
_cell_angle_beta 90.00
_cell_angle_gamma 90.00
loop_
_atom_site_label
_atom_site_fract_x
_atom_site_fract_y
_atom_site_fract_z
_atom_site_occupancy
Sm1 0.000 0.052 0.250 1
Ga1 0.000 0.230 0.750 1
B1 0.000 0.500 0.000 1
Ir1 0.000 0.334 0.060 1
```

The 10 most intense peaks (5° ≤ 2θ ≤ 70°), in order of rising 2θ:
h k l, Position (°2θ), Rel. int.
0 2 0, 15.73, 260
1 3 0, 32.43, 1000
1 1 2, 33.70, 880
0 4 1, 34.05, 437
1 3 1, 34.68, 345
0 2 3, 39.93, 430
1 3 2, 40.79, 264
1 1 3, 43.68, 505
2 0 0, 44.50, 429
1 5 3, 60.09, 291



No. 7
Theoretical powder diffractogram of Tb3Ga2BIr3 for CuKα, from a DFT-relaxed cell (GGA-PBE, Alexandria).

Cell and atoms:
```
data_Tb3Ga2BIr3
_space_group_name_H-M_alt 'P -6 2 m'
_space_group_IT_number 189
_space_group_name_Hall 'P -6 -2'
_cell_length_a 7.1545
_cell_length_b 7.1545
_cell_length_c 3.6085
_cell_angle_alpha 90.00
_cell_angle_beta 90.00
_cell_angle_gamma 120.00
loop_
_atom_site_label
_atom_site_fract_x
_atom_site_fract_y
_atom_site_fract_z
_atom_site_occupancy
Tb1 0.0000 0.6186 0.0000 1
Ga1 0.3333 0.6667 0.5000 1
B1 0.0000 0.0000 0.0000 1
Ir1 0.0000 0.2243 0.5000 1
```

The 10 most intense peaks (5° ≤ 2θ ≤ 70°), in order of rising 2θ:
h k l, Position (°2θ), Rel. int.
1 0 1, 28.63, 191
1 1 1, 35.33, 1000
2 0 1, 38.29, 288
2 1 0, 38.44, 669
3 0 0, 43.83, 141
2 1 1, 46.21, 280
0 0 2, 50.59, 164
2 2 0, 51.06, 104
3 1 1, 59.59, 159
2 1 2, 65.28, 287



No. 8
Theoretical powder diffractogram of Ti2GaB2Ir5 for CuKα, from a DFT-relaxed cell (GGA-PBE, Alexandria).

Cell and atoms:
```
data_Ti2GaB2Ir5
_space_group_name_H-M_alt 'P 4/m b m'
_space_group_IT_number 127
_space_group_name_Hall '-P 4 2ab'
_cell_length_a 9.183
_cell_length_b 9.183
_cell_length_c 3.117
_cell_angle_alpha 90.00
_cell_angle_beta 90.00
_cell_angle_gamma 90.00
loop_
_atom_site_label
_atom_site_fract_x
_atom_site_fract_y
_atom_site_fract_z
_atom_site_occupancy
Ti1 0.175 0.325 0.000 1
Ga1 0.000 0.000 0.000 1
B1 0.125 0.625 0.000 1
Ir1 0.000 0.500 0.500 1
Ir2 0.072 0.785 0.500 1
```

The 10 most intense peaks (5° ≤ 2θ ≤ 70°), in order of rising 2θ:
h k l, Position (°2θ), Rel. int.
2 1 0, 21.64, 294
0 0 1, 28.64, 810
3 1 0, 30.79, 307
3 2 0, 35.24, 452
2 1 1, 36.18, 471
4 1 0, 40.50, 723
3 1 1, 42.55, 1000
4 2 0, 44.10, 461
3 2 1, 46.02, 543
4 1 1, 50.36, 411



No. 9
Theoretical powder diffractogram of La2GaBPd6 for CuKα, from a DFT-relaxed cell (GGA-PBE, Alexandria).

Cell and atoms:
```
data_La2GaBPd6
_space_group_name_H-M_alt 'P m m n'
_space_group_IT_number 59
_cell_length_a 5.801
_cell_length_b 8.813
_cell_length_c 7.359
_cell_angle_alpha 90.00
_cell_angle_beta 90.00
_cell_angle_gamma 90.00
loop_
_space_group_symop_operation_xyz
'x,y,z'
'-x,-y,-z'
'-x+1/2,-y+1/2,z'
'x+1/2,y+1/2,-z'
'x+1/2,-y,-z'
'-x+1/2,y,z'
'-x,y+1/2,-z'
'x,-y+1/2,z'
loop_
_atom_site_label
_atom_site_fract_x
_atom_site_fract_y
_atom_site_fract_z
_atom_site_occupancy
La1 0.250 0.030 0.218 1
Ga1 0.250 0.750 0.821 1
B1 0.250 0.250 0.686 1
Pd1 0.006 0.250 0.898 1
Pd2 0.013 0.750 0.512 1
Pd3 0.250 0.009 0.653 1
```

The 10 most intense peaks (5° ≤ 2θ ≤ 70°), in order of rising 2θ:
h k l, Position (°2θ), Rel. int.
1 0 2, 28.73, 192
0 2 2, 31.68, 654
2 1 1, 34.77, 159
1 2 2, 35.35, 437
2 2 0, 37.11, 1000
2 0 2, 39.56, 530
0 4 0, 40.95, 737
0 2 3, 42.16, 177
2 4 2, 58.26, 268
4 0 0, 64.22, 146



No. 10
Theoretical powder diffractogram of La3Ga2BRu3 for CuKα, from a DFT-relaxed cell (GGA-PBE, Alexandria).

Cell and atoms:
```
data_La3Ga2BRu3
_space_group_name_H-M_alt 'P -6 2 m'
_space_group_IT_number 189
_space_group_name_Hall 'P -6 -2'
_cell_length_a 7.6893
_cell_length_b 7.6893
_cell_length_c 3.5372
_cell_angle_alpha 90.00
_cell_angle_beta 90.00
_cell_angle_gamma 120.00
loop_
_atom_site_label
_atom_site_fract_x
_atom_site_fract_y
_atom_site_fract_z
_atom_site_occupancy
La1 0.0000 0.3551 0.0000 1
Ga1 0.3333 0.6667 0.5000 1
B1 0.0000 0.0000 0.0000 1
Ru1 0.0000 0.7890 0.5000 1
```

The 10 most intense peaks (5° ≤ 2θ ≤ 70°), in order of rising 2θ:
h k l, Position (°2θ), Rel. int.
1 1 0, 23.13, 186
1 1 1, 34.45, 1000
2 1 0, 35.67, 348
2 0 1, 37.08, 127
3 0 0, 40.65, 239
2 1 1, 44.16, 208
2 2 0, 47.29, 173
0 0 2, 51.68, 117
2 1 2, 64.38, 121
4 1 1, 70.00, 243